No. 1
Calculated PXRD pattern of Ho2TeS for Cu Kα (weighted mean of Kα1 and Kα2), from a cell relaxed with GGA-PBE.
Kinematic intensities with the Lorentz-polarization factor, no thermal factor.

Top 10 peaks for 2θ from 10° to 90°, sorted by position:
two_theta  I (rel.)  (hkl)
26.3  30  1 1 2
28.4  37  0 2 0
31.4  100  2 0 0
36.3  56  1 2 2
42.9  46  2 2 0
45.0  35  2 0 4
54.1  22  2 2 4
59.1  25  3 2 2
63.6  23  1 4 2
81.3  21  3 4 2

Cell and atoms:
```
data_Ho2TeS
_chemical_formula_sum 'Ho8 Te4 S4'
_space_group_name_H-M_alt 'P m n a'
_space_group_IT_number 53
_cell_length_a 5.697
_cell_length_b 6.279
_cell_length_c 11.393
_cell_angle_alpha 90.00
_cell_angle_beta 90.00
_cell_angle_gamma 90.00
loop_
_space_group_symop_operation_xyz
'x,y,z'
'-x,-y,-z'
'-x+1/2,-y,z+1/2'
'x+1/2,y,-z+1/2'
'x,-y,-z'
'-x,y,z'
'-x+1/2,y,-z+1/2'
'x+1/2,-y,z+1/2'
loop_
_atom_site_label
_atom_site_type_symbol
_atom_site_fract_x
_atom_site_fract_y
_atom_site_fract_z
Ho1 Ho 0.000 0.185 0.136
Ho2 Ho 0.000 0.192 0.608
Te1 Te 0.000 0.310 0.871
S1 S 0.000 0.242 0.371
```


No. 2
Calculated PXRD pattern of Ho2TmTh3S6 for Cu Kα (weighted mean of Kα1 and Kα2), from a cell relaxed with GGA-PBE.
Kinematic intensities with the Lorentz-polarization factor, no thermal factor.

Top 10 peaks for 2θ from 10° to 90°, sorted by position:
two_theta  I (rel.)  (hkl)
26.3  27  4 0 -2
27.9  47  3 1 0
28.3  23  2 0 2
32.0  100  6 0 0
44.6  26  7 1 -2
45.1  13  2 0 -4
46.7  12  0 2 0
47.2  23  5 1 2
57.7  12  6 2 0
66.9  12  12 0 0

Cell and atoms:
```
data_Ho2TmTh3S6
_chemical_formula_sum 'Ho4 Tm2 Th6 S12'
_space_group_name_H-M_alt 'C 1 2/m 1'
_space_group_IT_number 12
_cell_length_a 17.598
_cell_length_b 3.890
_cell_length_c 8.062
_cell_angle_alpha 90.00
_cell_angle_beta 107.54
_cell_angle_gamma 90.00
loop_
_space_group_symop_operation_xyz
'x,y,z'
'-x,-y,-z'
'-x,y,-z'
'x,-y,z'
'x+1/2,y+1/2,z'
'-x+1/2,-y+1/2,-z'
'-x+1/2,y+1/2,-z'
'x+1/2,-y+1/2,z'
loop_
_atom_site_label
_atom_site_type_symbol
_atom_site_fract_x
_atom_site_fract_y
_atom_site_fract_z
Ho1 Ho 0.167 0.000 0.333
Tm1 Tm 0.000 0.500 0.000
Th1 Th 0.000 0.500 0.500
Th2 Th 0.167 0.000 0.833
S1 S 0.004 0.000 0.237
S2 S 0.161 0.500 0.093
S3 S 0.171 0.500 0.573
```


No. 3
Calculated PXRD pattern of Ho2TiS4 for Cu Kα (weighted mean of Kα1 and Kα2), from a cell relaxed with GGA-PBE.
Kinematic intensities with the Lorentz-polarization factor, no thermal factor.

Top 10 peaks for 2θ from 10° to 90°, sorted by position:
two_theta  I (rel.)  (hkl)
15.2  100  2 0 0
26.0  41  2 0 -2
26.8  76  1 1 -1
30.5  44  4 0 -2
30.8  80  1 1 1
32.9  19  3 1 0
41.0  52  6 0 -2
41.4  43  5 1 -1
46.3  42  3 1 -3
47.8  21  0 2 0

Cell and atoms:
```
data_Ho2TiS4
_chemical_formula_sum 'Ho4 Ti2 S8'
_space_group_name_H-M_alt 'C 1 2/m 1'
_space_group_IT_number 12
_cell_length_a 13.421
_cell_length_b 3.802
_cell_length_c 6.867
_cell_angle_alpha 90.00
_cell_angle_beta 119.53
_cell_angle_gamma 90.00
loop_
_space_group_symop_operation_xyz
'x,y,z'
'-x,-y,-z'
'-x,y,-z'
'x,-y,z'
'x+1/2,y+1/2,z'
'-x+1/2,-y+1/2,-z'
'-x+1/2,y+1/2,-z'
'x+1/2,-y+1/2,z'
loop_
_atom_site_label
_atom_site_type_symbol
_atom_site_fract_x
_atom_site_fract_y
_atom_site_fract_z
Ho1 Ho 0.227 0.000 0.218
Ti1 Ti 0.000 0.500 0.500
S1 S 0.112 0.500 0.915
S2 S 0.127 0.000 0.488
```